For Ba8LiAg2, a crystal structure in Alexandria, relaxed with GGA-PBE gives the simulated X-ray powder pattern in this record (Cu Kα).

Most intense lines, 15 to 90 degrees two-theta, sorted by position:
2θ 20.69, I 18, hkl 2 2 0
2θ 22.14, I 19, hkl 2 2 -1
2θ 24.37, I 29, hkl 2 0 1
2θ 24.64, I 29, hkl 1 3 1
2θ 26.60, I 100, hkl 0 4 1
2θ 28.79, I 25, hkl 2 4 0
2θ 29.17, I 22, hkl 0 2 2
2θ 30.30, I 17, hkl 2 2 -2
2θ 31.27, I 31, hkl 3 3 0
2θ 32.04, I 16, hkl 1 5 -1
2θ 36.74, I 22, hkl 4 2 0
2θ 53.41, I 25, hkl 2 0 -4

Structure:
```
data_Ba8LiAg2
_chemical_formula_sum 'Ba16 Li2 Ag4'
_cell_length_a 10.646
_cell_length_b 15.536
_cell_length_c 6.885
_cell_angle_alpha 90.00
_cell_angle_beta 104.64
_cell_angle_gamma 90.00
_space_group_name_H-M_alt 'C 1 m 1'
_space_group_IT_number 8
loop_
_space_group_symop_operation_xyz
'x,y,z'
'x,-y,z'
'x+1/2,y+1/2,z'
'x+1/2,-y+1/2,z'
loop_
_atom_site_label
_atom_site_fract_x
_atom_site_fract_y
_atom_site_fract_z
Ba1 0.000 0.000 0.000
Ba2 0.073 0.368 0.793
Ba3 0.178 0.132 0.604
Ba4 0.251 0.500 0.397
Ba5 0.376 0.242 0.199
Li1 0.375 0.000 0.194
Ag1 0.376 0.315 0.699
```

For Ba2Li3Ag4, a crystal structure in Alexandria, relaxed with GGA-PBE gives the simulated X-ray powder pattern in this record (Cu Kα).

Most intense lines, 15 to 90 degrees two-theta, sorted by position:
2θ 22.32, I 93, hkl 0 0 8
2θ 29.33, I 100, hkl 1 3 1
2θ 32.46, I 64, hkl 1 3 5
2θ 33.10, I 37, hkl 2 0 2
2θ 33.76, I 28, hkl 0 0 12
2θ 35.36, I 76, hkl 1 3 7
2θ 36.85, I 69, hkl 2 0 6
2θ 47.54, I 34, hkl 1 3 13
2θ 49.87, I 17, hkl 0 6 2
2θ 52.21, I 26, hkl 2 0 14
2θ 56.19, I 16, hkl 3 3 1
2θ 59.98, I 15, hkl 3 3 7

Structure:
```
data_Ba2Li3Ag4
_chemical_formula_sum 'Ba16 Li24 Ag32'
_cell_length_a 5.492
_cell_length_b 11.049
_cell_length_c 31.859
_cell_angle_alpha 90.00
_cell_angle_beta 90.00
_cell_angle_gamma 90.00
_space_group_name_H-M_alt 'F d d d'
_space_group_IT_number 70
loop_
_space_group_symop_operation_xyz
'x,y,z'
'-x,-y,-z'
'-x+1/4,-y+1/4,z'
'x+1/4,y+1/4,-z'
'x,-y+1/4,-z+1/4'
'-x,y+1/4,z+1/4'
'-x+1/4,y,-z+1/4'
'x+1/4,-y,z+1/4'
'x,y+1/2,z+1/2'
'-x,-y+1/2,-z+1/2'
'-x+1/4,-y+3/4,z+1/2'
'x+1/4,y+3/4,-z+1/2'
'x,-y+3/4,-z+3/4'
'-x,y+3/4,z+3/4'
'-x+1/4,y+1/2,-z+3/4'
'x+1/4,-y+1/2,z+3/4'
'x+1/2,y,z+1/2'
'-x+1/2,-y,-z+1/2'
'-x+3/4,-y+1/4,z+1/2'
'x+3/4,y+1/4,-z+1/2'
'x+1/2,-y+1/4,-z+3/4'
'-x+1/2,y+1/4,z+3/4'
'-x+3/4,y,-z+3/4'
'x+3/4,-y,z+3/4'
'x+1/2,y+1/2,z'
'-x+1/2,-y+1/2,-z'
'-x+3/4,-y+3/4,z'
'x+3/4,y+3/4,-z'
'x+1/2,-y+3/4,-z+1/4'
'-x+1/2,y+3/4,z+1/4'
'-x+3/4,y+1/2,-z+1/4'
'x+3/4,-y+1/2,z+1/4'
loop_
_atom_site_label
_atom_site_fract_x
_atom_site_fract_y
_atom_site_fract_z
Ba1 0.125 0.125 0.046
Li1 0.125 0.125 0.373
Li2 0.125 0.125 0.625
Ag1 0.117 0.315 0.696
```

For BaLi2Ag2, a crystal structure in Alexandria, relaxed with GGA-PBE gives the simulated X-ray powder pattern in this record (Cu Kα).

Most intense lines, 15 to 90 degrees two-theta, sorted by position:
2θ 19.73, I 15, hkl 1 0 0
2θ 24.26, I 30, hkl 1 0 1
2θ 28.04, I 83, hkl 1 1 0
2θ 31.46, I 23, hkl 1 1 1
2θ 34.63, I 100, hkl 1 0 2
2θ 40.09, I 41, hkl 2 0 0
2θ 53.98, I 54, hkl 2 1 2
2θ 57.97, I 11, hkl 2 2 0
2θ 65.61, I 15, hkl 3 1 0
2θ 65.86, I 14, hkl 1 1 4
2θ 69.31, I 12, hkl 3 0 2
2θ 83.20, I 15, hkl 3 2 2

Structure:
```
data_BaLi2Ag2
_chemical_formula_sum 'Ba1 Li2 Ag2'
_cell_length_a 4.500
_cell_length_b 4.500
_cell_length_c 6.337
_cell_angle_alpha 90.00
_cell_angle_beta 90.00
_cell_angle_gamma 90.00
_space_group_name_H-M_alt 'P 4/m m m'
_space_group_IT_number 123
_space_group_name_Hall '-P 4 2'
loop_
_atom_site_label
_atom_site_fract_x
_atom_site_fract_y
_atom_site_fract_z
Ba1 0.000 0.000 0.000
Li1 0.000 0.500 0.500
Ag1 0.500 0.500 0.245
```

For BaLi10Ag3, a crystal structure in Alexandria, relaxed with GGA-PBE gives the simulated X-ray powder pattern in this record (Cu Kα).

Most intense lines, 15 to 90 degrees two-theta, sorted by position:
2θ 22.49, I 100, hkl 2 2 2
2θ 26.02, I 50, hkl 4 0 0
2θ 37.14, I 42, hkl 4 4 0
2θ 43.85, I 51, hkl 6 2 2
2θ 45.91, I 14, hkl 4 4 4
2θ 53.53, I 7, hkl 8 0 0
2θ 58.78, I 18, hkl 6 6 2
2θ 60.46, I 15, hkl 8 4 0
2θ 66.94, I 13, hkl 8 4 4
2θ 71.60, I 12, hkl 10 2 2
2θ 83.52, I 12, hkl 10 6 2
2θ 84.98, I 7, hkl 12 0 0

Structure:
```
data_BaLi10Ag3
_chemical_formula_sum 'Ba8 Li80 Ag24'
_cell_length_a 13.696
_cell_length_b 13.696
_cell_length_c 13.696
_cell_angle_alpha 90.00
_cell_angle_beta 90.00
_cell_angle_gamma 90.00
_space_group_name_H-M_alt 'F m -3 m'
_space_group_IT_number 225
_space_group_name_Hall '-F 4 2 3'
loop_
_atom_site_label
_atom_site_fract_x
_atom_site_fract_y
_atom_site_fract_z
Ba1 0.250 0.250 0.250
Li1 0.000 0.169 0.169
Li2 0.105 0.105 0.395
Ag1 0.000 0.000 0.265
```

For Ba7Li2Ag2, a crystal structure in Alexandria, relaxed with GGA-PBE gives the simulated X-ray powder pattern in this record (Cu Kα).

Most intense lines, 15 to 90 degrees two-theta, sorted by position:
2θ 21.26, I 29, hkl 2 0 1
2θ 22.86, I 77, hkl 2 2 0
2θ 23.89, I 32, hkl 1 1 2
2θ 26.87, I 56, hkl 0 4 0
2θ 28.06, I 34, hkl 2 0 2
2θ 30.64, I 44, hkl 1 3 2
2θ 31.19, I 100, hkl 2 2 2
2θ 37.45, I 27, hkl 4 0 0
2θ 39.24, I 19, hkl 2 4 2
2θ 45.13, I 19, hkl 2 6 0
2θ 46.69, I 24, hkl 4 4 0
2θ 50.24, I 21, hkl 2 6 2

Structure:
```
data_Ba7Li2Ag2
_chemical_formula_sum 'Ba14 Li4 Ag4'
_cell_length_a 9.605
_cell_length_b 13.272
_cell_length_c 8.485
_cell_angle_alpha 90.00
_cell_angle_beta 90.00
_cell_angle_gamma 90.00
_space_group_name_H-M_alt 'C m m m'
_space_group_IT_number 65
_space_group_name_Hall '-C 2 2'
loop_
_atom_site_label
_atom_site_fract_x
_atom_site_fract_y
_atom_site_fract_z
Ba1 0.000 0.000 0.000
Ba2 0.000 0.500 0.248
Ba3 0.250 0.250 0.262
Li1 0.158 0.000 0.500
Ag1 0.000 0.288 0.000
```

For Ba4Li2Ag5, a crystal structure in Alexandria, relaxed with GGA-PBE gives the simulated X-ray powder pattern in this record (Cu Kα).

Most intense lines, 15 to 90 degrees two-theta, sorted by position:
2θ 23.23, I 48, hkl 1 5 0
2θ 23.72, I 17, hkl 1 4 1
2θ 27.74, I 69, hkl 0 0 2
2θ 28.44, I 37, hkl 3 3 0
2θ 30.15, I 92, hkl 3 2 1
2θ 30.80, I 100, hkl 1 6 1
2θ 31.89, I 28, hkl 1 3 2
2θ 32.58, I 18, hkl 2 0 2
2θ 37.75, I 28, hkl 2 7 1
2θ 39.05, I 53, hkl 4 3 1
2θ 50.60, I 21, hkl 3 2 3
2θ 51.02, I 23, hkl 1 6 3

Structure:
```
data_Ba4Li2Ag5
_chemical_formula_sum 'Ba16 Li8 Ag20'
_cell_length_a 10.595
_cell_length_b 20.531
_cell_length_c 6.431
_cell_angle_alpha 90.00
_cell_angle_beta 90.00
_cell_angle_gamma 90.00
_space_group_name_H-M_alt 'I b a m'
_space_group_IT_number 72
_space_group_name_Hall '-I 2 2c'
loop_
_atom_site_label
_atom_site_fract_x
_atom_site_fract_y
_atom_site_fract_z
Ba1 0.122 0.152 0.000
Ba2 0.213 0.438 0.000
Li1 0.000 0.302 0.250
Ag1 0.000 0.000 0.250
Ag2 0.089 0.403 0.500
Ag3 0.174 0.224 0.500
```